Diffraction record for Nd4Ni3O10. The powder XRD pattern is computed, not measured: it uses a structure optimized by DFT (PBE+U) and Cu Ka.

Structural model:
Cell: 14.120 5.513 5.484 Å, 90.00 100.97 90.00°
Space group P2_1/c (No. 14)
Inequivalent atoms, fractional coordinates:
Nd  0.100  0.014  0.318 [4 per cell]
Nd  0.363  0.009  0.381 [4 per cell]
Ni  0.221  0.504  0.351 [4 per cell]
Ni  0.500  0.000  0.000 [2 per cell]
O  0.065  0.063  0.760 [4 per cell]
O  0.197  0.726  0.613 [4 per cell]
O  0.240  0.225  0.585 [4 per cell]
O  0.364  0.584  0.446 [4 per cell]
O  0.474  0.212  0.694 [4 per cell]

Principal peaks in the range 2θ = 10–90°, by angle:
two_theta  d [Å]  intensity  (hkl)
23.10  3.850  14  0 1 1
25.71  3.466  11  4 0 0
32.27  2.774  100  4 1 -1
32.48  2.756  31  0 2 0
32.66  2.742  28  1 0 -2
41.89  2.156  14  4 2 0
45.82  1.980  10  7 0 0
46.73  1.944  29  1 2 -2
57.28  1.608  10  7 2 0
57.82  1.595  23  4 3 -1